Diffraction record for KTl6Pb6. The powder diffractogram is calculated, not measured: it uses the PBE geometry in Alexandria and copper Kα.
Neutral-atom scattering factors, no anomalous dispersion.

Principal peaks in the range 2θ = 5–70°, in order of rising 2θ:
2θ (°)  Rel. int.
30.72  39
31.09  92
32.06  31
34.76  100
34.87  48
35.68  61

Structural model:
```
KTl6Pb6
1.0
3.3654 -5.7975 0.0000
3.3654 5.7975 0.0000
0.0000 0.0000 11.1661
K Tl Pb
1 6 6
Direct
0.0000 0.0000 0.0000
0.0000 0.0000 0.3554
0.0000 0.0000 0.6446
0.3261 0.6739 0.5000
0.3389 0.6611 0.0000
0.6611 0.3389 0.0000
0.6739 0.3261 0.5000
0.0000 0.5000 0.2429
0.0000 0.5000 0.7571
0.5000 0.0000 0.2429
0.5000 0.0000 0.7571
0.5000 0.5000 0.2510
0.5000 0.5000 0.7490
```